# 1
Simulated powder diffraction line list
Compound: Fe4P2N3O8F9
Radiation: λ = 1.5418 Å (Cu Kα)
Structure: the PBE+U geometry in the Materials Project
Lines closer than 0.1° are merged.

Most intense lines, 2θ from 10° to 90°, in order of rising 2θ:
d/Å, I (rel.)
7.334, 59
6.971, 35
5.943, 100
5.178, 63
4.458, 26
3.276, 48
3.149, 20
3.123, 38
2.971, 25
2.851, 24

Structural model:
Unit cell a=7.261 b=14.681 c=7.610 alpha=90.00 beta=106.26 gamma=90.00
Space group P2_1/m (No. 11)
Unique sites:
Fe: 0.018 0.250 0.041 [2 per cell]
Fe: 0.178 0.122 0.685 [4 per cell]
Fe: 0.476 0.750 0.942 [2 per cell]
P: 0.152 0.603 0.709 [4 per cell]
N: 0.302 0.503 0.200 [4 per cell]
N: 0.432 0.750 0.456 [2 per cell]
O: 0.005 0.651 0.790 [4 per cell]
O: 0.077 0.597 0.499 [4 per cell]
O: 0.186 0.506 0.792 [4 per cell]
O: 0.346 0.654 0.761 [4 per cell]
F: 0.030 0.158 0.859 [4 per cell]
F: 0.163 0.250 0.606 [2 per cell]
F: 0.264 0.750 0.056 [2 per cell]
F: 0.298 0.250 0.149 [2 per cell]
F: 0.333 0.089 0.543 [4 per cell]
F: 0.409 0.154 0.888 [4 per cell]

=====

# 2
Simulated powder diffraction line list
Compound: FeRuN6F6
Radiation: λ = 1.5418 Å (Cu Kα)
Structure: the PBE+U geometry in the Materials Project
Lines closer than 0.1° are merged.

Most intense lines, 2θ from 10° to 90°, in order of rising 2θ:
d/Å, I (rel.)
5.120, 10
4.434, 100
3.135, 42
2.560, 21
2.370, 20
1.983, 38
1.810, 38
1.478, 17
1.402, 14
1.337, 12

Structural model:
Unit cell a=8.868 b=8.868 c=8.868 alpha=90.00 beta=90.00 gamma=90.00
Space group Pa-3 (No. 205)
Unique sites:
Fe: 0.000 0.000 0.000 [4 per cell]
Ru: 0.000 0.000 0.500 [4 per cell]
N: 0.068 0.176 0.613 [24 per cell]
F: 0.050 0.695 0.389 [24 per cell]

=====

# 3
Simulated powder diffraction line list
Compound: Ta2FeN6F12
Radiation: λ = 1.5418 Å (Cu Kα)
Structure: the PBE+U geometry in the Materials Project
Lines closer than 0.1° are merged.

Most intense lines, 2θ from 10° to 90°, in order of rising 2θ:
d/Å, I (rel.)
7.317, 13
6.337, 80
4.481, 100
3.169, 32
2.834, 26
2.587, 16
2.004, 37
1.694, 21
1.494, 15
1.243, 14

Structural model:
Unit cell a=12.674 b=12.674 c=12.674 alpha=90.00 beta=90.00 gamma=90.00
Space group Fm-3m (No. 225)
Unique sites:
Ta: 0.250 0.250 0.250 [8 per cell]
Fe: 0.000 0.000 0.000 [4 per cell]
N: 0.000 0.000 0.159 [24 per cell]
F: 0.099 0.250 0.250 [48 per cell]

=====

# 4
Simulated powder diffraction line list
Compound: NaFeF4
Radiation: λ = 1.5418 Å (Cu Kα)
Structure: the PBE+U geometry in the Materials Project
Lines closer than 0.1° are merged.

Most intense lines, 2θ from 10° to 90°, in order of rising 2θ:
d/Å, I (rel.)
7.811, 30
4.449, 85
3.905, 31
3.741, 44
3.674, 33
3.167, 100
3.078, 46
1.908, 25
1.837, 26
1.823, 37

Structural model:
Unit cell a=7.973 b=5.414 c=7.638 alpha=90.00 beta=101.58 gamma=90.00
Space group P2_1/c (No. 14)
Unique sites:
Na: 0.142 0.221 0.385 [4 per cell]
Fe: 0.328 0.743 0.198 [4 per cell]
F: 0.126 0.547 0.186 [4 per cell]
F: 0.191 0.024 0.122 [4 per cell]
F: 0.331 0.641 0.949 [4 per cell]
F: 0.458 0.062 0.792 [4 per cell]